Simulated XRD peak list of Cu3Ni4O12 for Cu Kα X-rays, from a cell relaxed with GGA+U.

Lattice parameters (Å, degrees): 6.3111 6.3111 6.3111 109.47 109.47 109.47
Sites, in units of the cell vectors:
Cu: 0.0000 0.5000 0.5000
Cu: 0.5000 0.0000 0.5000
Cu: 0.5000 0.5000 0.0000
Ni: 0.0000 0.0000 0.5000
Ni: 0.0000 0.5000 0.0000
Ni: 0.5000 0.0000 0.0000
Ni: 0.5000 0.5000 0.5000
O: 0.1454 0.3187 0.8268
O: 0.1732 0.4919 0.3187
O: 0.1732 0.8546 0.6813
O: 0.3187 0.1732 0.4919
O: 0.3187 0.8268 0.1454
O: 0.4919 0.3187 0.1732
O: 0.5081 0.6813 0.8268
O: 0.6813 0.1732 0.8546
O: 0.6813 0.8268 0.5081
O: 0.8268 0.1454 0.3187
O: 0.8268 0.5081 0.6813
O: 0.8546 0.6813 0.1732

Top 6 peaks for 10° ≤ 2θ ≤ 90°, by intensity:
- 34.82 deg, rel. 100
- 62.43 deg, rel. 50
- 50.07 deg, rel. 25
- 17.21 deg, rel. 22
- 83.99 deg, rel. 16
- 30.04 deg, rel. 13